Diffraction record for Mn3O5F. The XRD peak list is calculated, not measured: it uses a PBE+U-relaxed structure and Cu Ka.

Top 12 peaks for 10° ≤ 2θ ≤ 90°, sorted by position:
- (0 1 3), 2θ 27.82, rel. 100
- (1 0 3), 2θ 35.83, rel. 55
- (0 0 6), 2θ 39.76, rel. 9
- (1 1 3), 2θ 41.15, rel. 16
- (0 2 3), 2θ 44.69, rel. 6
- (1 1 6), 2θ 54.58, rel. 58
- (0 2 6), 2θ 57.48, rel. 16
- (2 0 0), 2θ 61.68, rel. 9
- (0 1 9), 2θ 65.05, rel. 8
- (2 1 3), 2θ 68.98, rel. 12
- (1 0 9), 2θ 69.62, rel. 20
- (2 2 6), 2θ 89.32, rel. 8

Unit cell a=3.0077 b=4.5357 c=13.5999 alpha=90.00 beta=90.00 gamma=90.00
Space group Pmn2_1 (No. 31)
One atom of each set of equivalent atoms:
Mn  0.0000  0.2251  0.0000 [2 per cell]
Mn  0.0000  0.2264  0.6795 [2 per cell]
Mn  0.0000  0.2691  0.3391 [2 per cell]
O  0.0000  0.5486  0.9066 [2 per cell]
O  0.0000  0.5620  0.2365 [2 per cell]
O  0.0000  0.9338  0.7776 [2 per cell]
O  0.0000  0.9484  0.1093 [2 per cell]
O  0.0000  0.9556  0.4396 [2 per cell]
F  0.0000  0.5513  0.5728 [2 per cell]



Diffraction record for Mn6O7F5. The XRD peak list is calculated, not measured: it uses a PBE+U-relaxed structure and Cu Ka.

Top 12 peaks for 10° ≤ 2θ ≤ 90°, sorted by position:
- (1 1 0), 2θ 24.15, rel. 61
- (1 -1 0), 2θ 25.41, rel. 53
- (1 1 3), 2θ 29.58, rel. 51
- (1 1 -3), 2θ 30.26, rel. 52
- (-1 1 3), 2θ 30.96, rel. 100
- (0 2 3), 2θ 35.97, rel. 22
- (1 2 3), 2θ 40.12, rel. 24
- (2 0 6), 2θ 52.99, rel. 24
- (2 2 -3), 2θ 53.26, rel. 35
- (2 0 -6), 2θ 53.77, rel. 25
- (2 -2 3), 2θ 55.43, rel. 36
- (0 2 -9), 2θ 64.52, rel. 24

Unit cell a=4.6515 b=5.6753 c=15.2897 alpha=88.84 beta=89.16 gamma=87.06
Space group P1 (No. 1)
One atom of each set of equivalent atoms:
Mn  0.0000  0.0000  0.0000 [1 per cell]
Mn  0.0004  0.2888  0.1750 [1 per cell]
Mn  0.0016  0.3142  0.5075 [1 per cell]
Mn  0.4419  0.7834  0.8309 [1 per cell]
Mn  0.4469  0.7915  0.1663 [1 per cell]
Mn  0.4528  0.4684  0.3313 [1 per cell]
Mn  0.4631  0.4782  0.6740 [1 per cell]
Mn  0.4654  0.4681  0.0064 [1 per cell]
Mn  0.4645  0.7728  0.4979 [1 per cell]
Mn  0.9530  0.2903  0.8367 [1 per cell]
Mn  0.9814  0.0039  0.6718 [1 per cell]
Mn  0.9932  0.9979  0.3373 [1 per cell]
O  0.1872  0.2525  0.7290 [1 per cell]
O  0.1956  0.0244  0.8882 [1 per cell]
O  0.2022  0.0233  0.2277 [1 per cell]
O  0.2019  0.2493  0.3965 [1 per cell]
O  0.2070  0.2487  0.0650 [1 per cell]
O  0.2325  0.7545  0.7235 [1 per cell]
O  0.2424  0.7426  0.3906 [1 per cell]
O  0.2509  0.7502  0.0579 [1 per cell]
O  0.2530  0.5189  0.2240 [1 per cell]
O  0.2693  0.5287  0.5608 [1 per cell]
O  0.6741  0.5190  0.7798 [1 per cell]
O  0.7438  0.2437  0.9481 [1 per cell]
O  0.7530  0.2492  0.2792 [1 per cell]
O  0.7547  0.2596  0.6129 [1 per cell]
F  0.2132  0.5271  0.8959 [1 per cell]
F  0.2235  0.0279  0.5604 [1 per cell]
F  0.6881  0.7409  0.9418 [1 per cell]
F  0.7003  0.7582  0.2754 [1 per cell]
F  0.7071  0.4982  0.4356 [1 per cell]
F  0.7174  0.0160  0.7775 [1 per cell]
F  0.7186  0.7641  0.6061 [1 per cell]
F  0.7320  0.5237  0.1175 [1 per cell]
F  0.7420  0.0014  0.4472 [1 per cell]
F  0.7454  0.0164  0.1111 [1 per cell]



Diffraction record for Mn12O5F19. The XRD peak list is calculated, not measured: it uses a PBE+U-relaxed structure and Cu Ka.

Top 12 peaks for 10° ≤ 2θ ≤ 90°, sorted by position:
- (1 -1 0), 2θ 23.24, rel. 46
- (1 1 0), 2θ 24.19, rel. 41
- (-1 1 3), 2θ 28.73, rel. 100
- (1 1 -3), 2θ 29.39, rel. 44
- (1 1 3), 2θ 29.63, rel. 45
- (0 0 6), 2θ 33.68, rel. 18
- (2 0 -6), 2θ 50.60, rel. 23
- (2 -2 3), 2θ 50.63, rel. 20
- (2 0 6), 2θ 50.77, rel. 40
- (2 2 -3), 2θ 52.48, rel. 16
- (2 2 3), 2θ 52.78, rel. 16
- (0 2 -9), 2θ 60.82, rel. 16

Unit cell a=4.8953 b=5.8515 c=15.9680 alpha=90.53 beta=90.18 gamma=92.29
Space group P1 (No. 1)
One atom of each set of equivalent atoms:
Mn  0.0000  0.0000  0.0000 [1 per cell]
Mn  0.0023  0.0066  0.3205 [1 per cell]
Mn  0.0064  0.6849  0.1569 [1 per cell]
Mn  0.0140  0.6368  0.4803 [1 per cell]
Mn  0.4619  0.1724  0.1592 [1 per cell]
Mn  0.4736  0.4690  0.3233 [1 per cell]
Mn  0.4835  0.1777  0.4895 [1 per cell]
Mn  0.4974  0.4988  0.9824 [1 per cell]
Mn  0.4991  0.5113  0.6614 [1 per cell]
Mn  0.5085  0.1827  0.8241 [1 per cell]
Mn  0.9603  0.6684  0.8222 [1 per cell]
Mn  0.9786  0.9753  0.6570 [1 per cell]
O  0.2124  0.9573  0.1067 [1 per cell]
O  0.2718  0.2252  0.2641 [1 per cell]
O  0.2867  0.4230  0.4287 [1 per cell]
O  0.7071  0.4509  0.8742 [1 per cell]
O  0.7762  0.7212  0.7195 [1 per cell]
F  0.1904  0.7075  0.9289 [1 per cell]
F  0.2213  0.7198  0.2699 [1 per cell]
F  0.2226  0.9316  0.4337 [1 per cell]
F  0.2252  0.7241  0.5979 [1 per cell]
F  0.2285  0.9395  0.7760 [1 per cell]
F  0.2522  0.4330  0.7675 [1 per cell]
F  0.2553  0.2204  0.6045 [1 per cell]
F  0.2558  0.4563  0.0919 [1 per cell]
F  0.2643  0.2112  0.9325 [1 per cell]
F  0.6956  0.2136  0.0536 [1 per cell]
F  0.7073  0.4475  0.2124 [1 per cell]
F  0.7168  0.2127  0.7111 [1 per cell]
F  0.7300  0.4409  0.5496 [1 per cell]
F  0.7422  0.2173  0.3832 [1 per cell]
F  0.7494  0.7049  0.3723 [1 per cell]
F  0.7522  0.9424  0.2132 [1 per cell]
F  0.7515  0.9436  0.5412 [1 per cell]
F  0.7568  0.9592  0.8897 [1 per cell]
F  0.7610  0.7138  0.0478 [1 per cell]